No. 1
Diffraction record for Pm8TmSc3. The powder X-ray diffraction pattern is calculated, not measured: it uses a structure optimized by DFT (PBE) and Cu Ka.
Neutral-atom scattering factors, no anomalous dispersion.

Structural model:
a b c (Å): 9.359 9.359 9.359
angles (deg): 132.03 132.03 70.17
Fractional coordinates of all 12 atoms:
Pm (0.118, 0.118, 0.492)
Pm (0.118, 0.626, 0.000)
Pm (0.374, 0.374, 0.492)
Pm (0.374, 0.882, 0.000)
Pm (0.626, 0.118, 0.000)
Pm (0.626, 0.626, 0.508)
Pm (0.882, 0.374, 0.000)
Pm (0.882, 0.882, 0.508)
Tm (0.500, 0.500, 0.000)
Sc (0.000, 0.000, 0.000)
Sc (0.250, 0.750, 0.500)
Sc (0.750, 0.250, 0.500)

Most intense lines, 10 to 90 degrees two-theta, sorted by position:
d [Å], Rel. int.
3.829, 215
3.804, 425
2.699, 1000
2.690, 497
2.201, 195
1.902, 179
1.702, 178
1.560, 184
1.555, 368
1.203, 156

No. 2
Diffraction record for FeNi12Rh3. The powder X-ray diffraction pattern is calculated, not measured: it uses a structure optimized by DFT (PBE) and Cu Ka.
Neutral-atom scattering factors, no anomalous dispersion.

Structural model:
a b c (Å): 7.207 7.207 7.207
angles (deg): 89.94 89.94 89.94
Fractional coordinates of all 32 atoms:
Fe (0.250, 0.250, 0.250)
Fe (0.750, 0.750, 0.750)
Ni (0.000, 0.000, 0.245)
Ni (0.000, 0.000, 0.755)
Ni (0.000, 0.245, 0.000)
Ni (0.000, 0.250, 0.500)
Ni (0.000, 0.750, 0.500)
Ni (0.000, 0.755, 0.000)
Ni (0.245, 0.000, 0.000)
Ni (0.249, 0.750, 0.251)
Ni (0.250, 0.500, 0.000)
Ni (0.250, 0.749, 0.751)
Ni (0.251, 0.249, 0.750)
Ni (0.255, 0.500, 0.500)
Ni (0.500, 0.000, 0.250)
Ni (0.500, 0.000, 0.750)
Ni (0.500, 0.255, 0.500)
Ni (0.500, 0.500, 0.255)
Ni (0.500, 0.500, 0.745)
Ni (0.500, 0.745, 0.500)
Ni (0.745, 0.500, 0.500)
Ni (0.749, 0.751, 0.250)
Ni (0.750, 0.251, 0.249)
Ni (0.750, 0.500, 0.000)
Ni (0.751, 0.250, 0.749)
Ni (0.755, 0.000, 0.000)
Rh (0.000, 0.500, 0.250)
Rh (0.000, 0.500, 0.750)
Rh (0.250, 0.000, 0.500)
Rh (0.500, 0.250, 0.000)
Rh (0.500, 0.750, 0.000)
Rh (0.750, 0.000, 0.500)

Most intense lines, 10 to 90 degrees two-theta, sorted by position:
d [Å], Rel. int.
5.095, 13
3.223, 51
2.942, 15
2.279, 7
2.080, 1000
1.999, 13
1.802, 469
1.573, 13
1.338, 6
1.274, 275

No. 3
Diffraction record for Er3TmSi4. The powder X-ray diffraction pattern is calculated, not measured: it uses a structure optimized by DFT (PBE) and Cu Ka.
Neutral-atom scattering factors, no anomalous dispersion.

Structural model:
a b c (Å): 3.938 6.187 15.379
angles (deg): 90.00 90.00 90.00
Fractional coordinates of all 16 atoms:
Er (0.000, 0.000, 0.000)
Er (0.000, 0.500, 0.194)
Er (0.000, 0.500, 0.806)
Er (0.500, 0.000, 0.306)
Er (0.500, 0.000, 0.694)
Er (0.500, 0.500, 0.500)
Tm (0.000, 0.000, 0.500)
Tm (0.500, 0.500, 0.000)
Si (0.000, 0.313, 0.368)
Si (0.000, 0.313, 0.632)
Si (0.000, 0.687, 0.368)
Si (0.000, 0.687, 0.632)
Si (0.500, 0.187, 0.132)
Si (0.500, 0.187, 0.868)
Si (0.500, 0.813, 0.132)
Si (0.500, 0.813, 0.868)

Most intense lines, 10 to 90 degrees two-theta, sorted by position:
d [Å], Rel. int.
3.947, 170
3.093, 252
3.050, 1000
2.754, 136
2.514, 177
2.410, 165
2.198, 145
1.777, 203
1.664, 181
1.324, 157

No. 4
Diffraction record for GaCuAu3. The powder X-ray diffraction pattern is calculated, not measured: it uses a structure optimized by DFT (PBE) and Cu Ka.
Neutral-atom scattering factors, no anomalous dispersion.

Structural model:
a b c (Å): 4.700 4.742 7.799
angles (deg): 73.03 88.28 83.26
Fractional coordinates of all 10 atoms:
Ga (0.225, 0.402, 0.303)
Ga (0.775, 0.598, 0.697)
Cu (0.220, 0.196, 0.702)
Cu (0.780, 0.804, 0.298)
Au (0.260, 0.600, 0.881)
Au (0.260, 0.987, 0.115)
Au (0.279, 0.794, 0.499)
Au (0.721, 0.206, 0.501)
Au (0.740, 0.013, 0.885)
Au (0.740, 0.400, 0.119)

Most intense lines, 10 to 90 degrees two-theta, sorted by position:
d [Å], Rel. int.
3.069, 451
2.355, 791
2.334, 1000
2.292, 858
2.265, 845
2.209, 294
2.167, 827
2.156, 759
1.764, 275
1.288, 268

No. 5
Diffraction record for Sc8Ga2Hg. The powder X-ray diffraction pattern is calculated, not measured: it uses a structure optimized by DFT (PBE) and Cu Ka.
Neutral-atom scattering factors, no anomalous dispersion.

Structural model:
a b c (Å): 7.823 7.823 7.690
angles (deg): 117.65 117.65 35.78
Fractional coordinates of all 11 atoms:
Sc (0.061, 0.061, 0.222)
Sc (0.147, 0.147, 0.701)
Sc (0.317, 0.317, 0.549)
Sc (0.400, 0.400, 0.041)
Sc (0.600, 0.600, 0.959)
Sc (0.683, 0.683, 0.451)
Sc (0.853, 0.853, 0.299)
Sc (0.939, 0.939, 0.778)
Ga (0.220, 0.220, 0.127)
Ga (0.780, 0.780, 0.873)
Hg (0.500, 0.500, 0.500)

Most intense lines, 10 to 90 degrees two-theta, sorted by position:
d [Å], Rel. int.
6.519, 244
4.508, 128
4.075, 281
3.835, 161
3.218, 126
2.519, 692
2.498, 1000
2.403, 319
1.732, 243
1.450, 200

No. 6
Diffraction record for Nd2Fe17N2. The powder X-ray diffraction pattern is calculated, not measured: it uses a structure optimized by DFT (PBE) and Cu Ka.
Neutral-atom scattering factors, no anomalous dispersion.

Structural model:
a b c (Å): 6.517 6.517 6.547
angles (deg): 96.16 96.16 83.85
Fractional coordinates of all 21 atoms:
Nd (0.155, 0.155, 0.343)
Nd (0.845, 0.845, 0.657)
Fe (0.000, 0.500, 0.000)
Fe (0.156, 0.156, 0.859)
Fe (0.157, 0.644, 0.338)
Fe (0.217, 0.500, 0.717)
Fe (0.217, 0.783, 0.000)
Fe (0.356, 0.843, 0.662)
Fe (0.404, 0.404, 0.094)
Fe (0.500, 0.000, 0.000)
Fe (0.500, 0.217, 0.717)
Fe (0.500, 0.500, 0.500)
Fe (0.500, 0.783, 0.283)
Fe (0.596, 0.596, 0.906)
Fe (0.644, 0.157, 0.338)
Fe (0.783, 0.217, 0.000)
Fe (0.783, 0.500, 0.283)
Fe (0.843, 0.356, 0.662)
Fe (0.844, 0.844, 0.141)
N (0.000, 0.500, 0.500)
N (0.500, 0.000, 0.500)

Most intense lines, 10 to 90 degrees two-theta, sorted by position:
d [Å], Rel. int.
3.010, 303
3.003, 163
2.518, 473
2.403, 377
2.180, 921
2.159, 204
2.152, 1000
2.102, 172
2.077, 522
1.508, 177